This entry pairs a crystal structure of Mg14NiC with its simulated PXRD pattern. Radiation: λ = 1.5418 Å (Cu Kα). Structure: a crystal structure in the Materials Project, relaxed with GGA-PBE.

Structure:
Lattice parameters (Å, degrees): 6.2500 6.2500 9.4700 90.00 90.00 120.00
Fractional coordinates of all 16 atoms:
Mg (0.0000, 0.0000, 0.2472)
Mg (0.0000, 0.0000, 0.7528)
Mg (0.0207, 0.5104, 0.2519)
Mg (0.0207, 0.5104, 0.7481)
Mg (0.3318, 0.1659, 0.5000)
Mg (0.3349, 0.1674, 0.0000)
Mg (0.4896, 0.5104, 0.2519)
Mg (0.4896, 0.5104, 0.7481)
Mg (0.4896, 0.9793, 0.2519)
Mg (0.4896, 0.9793, 0.7481)
Mg (0.8326, 0.1674, 0.0000)
Mg (0.8326, 0.6651, 0.0000)
Mg (0.8341, 0.1659, 0.5000)
Mg (0.8341, 0.6682, 0.5000)
Ni (0.3333, 0.6667, 0.0000)
C (0.3333, 0.6667, 0.5000)

Most intense lines, 2θ from 15° to 90°, sorted by position:
hkl 2 0 0, d 2.706, 33.10 deg, intensity 26
hkl 0 0 4, d 2.368, 38.01 deg, intensity 23
hkl 2 0 2, d 2.350, 38.31 deg, intensity 100
hkl 2 0 4, d 1.782, 51.27 deg, intensity 14
hkl 2 2 0, d 1.562, 59.13 deg, intensity 17
hkl 2 0 6, d 1.363, 68.86 deg, intensity 16
hkl 2 2 4, d 1.304, 72.48 deg, intensity 18
hkl 4 0 2, d 1.301, 72.67 deg, intensity 13